[1]
Starting from the PBE geometry in Alexandria, the XRD peak list of ZrAl4Bi was calculated for copper Kα.

Top 12 peaks for 10 to 90 degrees two-theta, sorted by position:
2θ (°), d [Å], Rel. int.
19.89, 4.463, 68
23.01, 3.865, 15
32.77, 2.733, 91
38.63, 2.331, 100
40.42, 2.232, 9
51.53, 1.773, 19
58.49, 1.578, 35
62.42, 1.488, 33
68.68, 1.367, 20
72.31, 1.307, 14
78.21, 1.222, 15
81.68, 1.179, 12

Structural model:
a = 5.466 Å, b = 5.466 Å, c = 5.466 Å
α = 60.00°, β = 60.00°, γ = 60.00°
Fractional coordinates of all 6 atoms:
Zr  0.000  0.000  0.000
Al  0.122  0.626  0.626
Al  0.626  0.122  0.626
Al  0.626  0.626  0.122
Al  0.626  0.626  0.626
Bi  0.250  0.250  0.250

[2]
Starting from the PBE geometry in Alexandria, the XRD peak list of Sm3Y4Th2 was calculated for copper Kα.

Top 12 peaks for 10 to 90 degrees two-theta, sorted by position:
2θ (°), d [Å], Rel. int.
12.77, 6.934, 13
30.45, 2.936, 100
30.61, 2.921, 33
35.29, 2.544, 45
35.48, 2.530, 22
50.76, 1.799, 32
51.05, 1.789, 16
60.28, 1.535, 19
60.43, 1.532, 14
60.52, 1.530, 9
60.63, 1.527, 9
82.64, 1.168, 10

Structural model:
a = 7.993 Å, b = 7.993 Å, c = 10.786 Å
α = 102.59°, β = 102.59°, γ = 26.02°
Fractional coordinates of all 9 atoms:
Sm  0.000  0.000  0.000
Sm  0.330  0.330  0.442
Sm  0.670  0.670  0.558
Y  0.005  0.005  0.332
Y  0.330  0.330  0.111
Y  0.670  0.670  0.889
Y  0.995  0.995  0.668
Th  0.333  0.333  0.778
Th  0.667  0.667  0.222

[3]
Starting from the PBE geometry in Alexandria, the XRD peak list of Pr5Zn5Rh2 was calculated for copper Kα.

Top 12 peaks for 10 to 90 degrees two-theta, sorted by position:
2θ (°), d [Å], Rel. int.
11.06, 8.003, 18
27.13, 3.286, 23
31.12, 2.874, 100
33.58, 2.669, 50
34.16, 2.625, 84
35.37, 2.538, 62
38.43, 2.343, 70
42.04, 2.149, 44
48.81, 1.866, 21
54.84, 1.674, 24
56.06, 1.640, 20
63.04, 1.475, 19

Structural model:
a = 8.287 Å, b = 8.287 Å, c = 11.610 Å
α = 131.34°, β = 131.34°, γ = 30.06°
Fractional coordinates of all 12 atoms:
Pr  0.000  0.000  0.000
Pr  0.117  0.117  0.415
Pr  0.193  0.193  0.817
Pr  0.807  0.807  0.183
Pr  0.883  0.883  0.585
Zn  0.264  0.264  0.321
Zn  0.442  0.442  0.154
Zn  0.500  0.500  0.500
Zn  0.558  0.558  0.846
Zn  0.736  0.736  0.679
Rh  0.349  0.349  0.738
Rh  0.651  0.651  0.262

[4]
Starting from the PBE geometry in Alexandria, the XRD peak list of Pr2ThF11 was calculated for copper Kα.

Top 12 peaks for 10 to 90 degrees two-theta, sorted by position:
2θ (°), d [Å], Rel. int.
13.08, 6.766, 46
20.12, 4.413, 100
20.96, 4.239, 24
22.62, 3.930, 70
23.25, 3.826, 35
25.45, 3.500, 28
26.34, 3.383, 20
27.10, 3.291, 21
40.90, 2.207, 23
41.41, 2.180, 27
43.01, 2.103, 37
44.76, 2.025, 29

Structural model:
a = 9.025 Å, b = 9.025 Å, c = 9.025 Å
α = 121.94°, β = 107.66°, γ = 99.65°
Fractional coordinates of all 28 atoms:
Pr  0.191  0.163  0.353
Pr  0.309  0.663  0.972
Pr  0.691  0.337  0.028
Pr  0.809  0.837  0.647
Th  0.250  0.750  0.500
Th  0.750  0.250  0.500
F  0.000  0.000  0.000
F  0.025  0.454  0.765
F  0.059  0.835  0.623
F  0.185  0.891  0.077
F  0.189  0.954  0.429
F  0.212  0.435  0.377
F  0.288  0.665  0.223
F  0.311  0.740  0.765
F  0.315  0.391  0.706
F  0.441  0.065  0.777
F  0.475  0.240  0.429
F  0.500  0.500  0.000
F  0.525  0.760  0.571
F  0.559  0.935  0.223
F  0.685  0.609  0.294
F  0.689  0.260  0.235
F  0.712  0.335  0.777
F  0.788  0.565  0.623
F  0.811  0.046  0.571
F  0.815  0.109  0.923
F  0.941  0.165  0.377
F  0.975  0.546  0.235

[5]
Starting from the PBE geometry in Alexandria, the XRD peak list of Ti5ZnGa2 was calculated for copper Kα.

Top 12 peaks for 10 to 90 degrees two-theta, sorted by position:
2θ (°), d [Å], Rel. int.
11.19, 7.905, 3
22.49, 3.953, 3
31.44, 2.845, 2
39.01, 2.309, 100
45.07, 2.012, 32
45.92, 1.976, 15
50.93, 1.793, 1
65.63, 1.422, 10
66.30, 1.410, 19
79.07, 1.211, 22
80.30, 1.196, 10
83.79, 1.155, 9

Structural model:
a = 4.023 Å, b = 4.023 Å, c = 15.811 Å
α = 90.00°, β = 90.00°, γ = 90.00°
Fractional coordinates of all 16 atoms:
Ti  0.000  0.000  0.000
Ti  0.000  0.500  0.128
Ti  0.000  0.500  0.372
Ti  0.000  0.500  0.628
Ti  0.000  0.500  0.872
Ti  0.500  0.000  0.128
Ti  0.500  0.000  0.372
Ti  0.500  0.000  0.628
Ti  0.500  0.000  0.872
Ti  0.500  0.500  0.500
Zn  0.000  0.000  0.500
Zn  0.500  0.500  0.000
Ga  0.000  0.000  0.250
Ga  0.000  0.000  0.750
Ga  0.500  0.500  0.250
Ga  0.500  0.500  0.750

[6]
Starting from the PBE geometry in Alexandria, the XRD peak list of Ta6V3Ni3C2 was calculated for copper Kα.

Top 12 peaks for 10 to 90 degrees two-theta, sorted by position:
2θ (°), d [Å], Rel. int.
13.28, 6.665, 16
30.99, 2.886, 23
33.85, 2.648, 29
38.19, 2.356, 57
40.61, 2.222, 100
44.37, 2.042, 18
56.94, 1.617, 13
66.23, 1.411, 9
69.00, 1.361, 37
69.14, 1.359, 13
70.60, 1.334, 6
83.22, 1.161, 11

Structural model:
a = 8.165 Å, b = 8.165 Å, c = 8.165 Å
α = 120.15°, β = 119.95°, γ = 89.92°
Fractional coordinates of all 28 atoms:
Ta  0.000  0.000  0.000
Ta  0.004  0.003  0.620
Ta  0.004  0.383  0.000
Ta  0.129  0.629  0.500
Ta  0.134  0.254  0.499
Ta  0.134  0.634  0.880
Ta  0.378  0.378  0.000
Ta  0.383  0.003  0.000
Ta  0.383  0.383  0.380
Ta  0.748  0.248  0.500
Ta  0.754  0.254  0.120
Ta  0.754  0.634  0.501
V  0.064  0.812  0.252
V  0.362  0.024  0.338
V  0.560  0.812  0.748
V  0.567  0.325  0.758
V  0.567  0.809  0.242
V  0.685  0.024  0.662
Ni  0.363  0.020  0.657
Ni  0.363  0.707  0.343
Ni  0.460  0.616  0.844
Ni  0.771  0.616  0.156
Ni  0.774  0.613  0.840
Ni  0.774  0.934  0.160
C  0.069  0.318  0.249
C  0.069  0.318  0.751
C  0.069  0.820  0.751
C  0.568  0.318  0.249